Computed PXRD pattern
Compound: Ni2Pd2Se5
Radiation: λ = 1.5418 Å (Cu Kα)
Structure: a DFT-relaxed cell (PBE, Alexandria)
Intensities are scaled so that the largest is 100.

Cell and atoms:
Lattice parameters (Å, degrees): 4.9769 6.1689 6.5413 112.24 96.63 106.90
Space group P-1 (No. 2)
Unique sites:
1 Ni 0.2165 0.4318 0.2745
2 Pd 0.1535 0.8780 0.5819
3 Se 0.0000 0.0000 0.0000
4 Se 0.2855 0.5304 0.6695
5 Se 0.3359 0.8027 0.2244

Top 10 peaks for 5 to 70 degrees two-theta, sorted by position:
d = 5.855 Å, rel. 80, (0 0 1); d = 3.701 Å, rel. 34, (1 -1 1); d = 2.985 Å, rel. 67, (1 1 0); d = 2.869 Å, rel. 97, (1 -2 1); d = 2.816 Å, rel. 100, (1 0 -2); d = 2.216 Å, rel. 27, (2 -1 1); d = 2.194 Å, rel. 53, (0 1 2); d = 2.055 Å, rel. 81, (0 2 -3); d = 2.010 Å, rel. 46, (1 2 0); d = 1.947 Å, rel. 51, (0 3 -1)